This entry pairs a crystal structure of Zn2Ni3O5 with its computed XRD peak list. Radiation: CuKα. Structure: a DFT-relaxed cell (PBE+U, Alexandria).
No peak broadening, texture or thermal motion is included.

The 8 most intense peaks (10° ≤ 2θ ≤ 80°), in order of rising 2θ:
- 36.46 deg, I 100.0, (3 1 -1)
- 42.22 deg, I 43.3, (2 0 1)
- 42.41 deg, I 85.4, (0 2 0)
- 61.39 deg, I 50.4, (2 2 1)
- 61.53 deg, I 25.0, (4 2 -3)
- 73.42 deg, I 13.1, (5 1 0)
- 73.68 deg, I 25.9, (7 1 -4)
- 77.45 deg, I 23.5, (6 2 -2)

```
data_Zn2Ni3O5
_chemical_formula_sum 'Zn4 Ni6 O10'
_cell_length_a 9.546
_cell_length_b 4.261
_cell_length_c 6.744
_cell_angle_alpha 90.00
_cell_angle_beta 134.86
_cell_angle_gamma 90.00
_space_group_name_H-M_alt 'C 1 2/m 1'
_space_group_IT_number 12
loop_
_space_group_symop_operation_xyz
'x,y,z'
'-x,-y,-z'
'-x,y,-z'
'x,-y,z'
'x+1/2,y+1/2,z'
'-x+1/2,-y+1/2,-z'
'-x+1/2,y+1/2,-z'
'x+1/2,-y+1/2,z'
loop_
_atom_site_label
_atom_site_type_symbol
_atom_site_fract_x
_atom_site_fract_y
_atom_site_fract_z
Zn1 Zn 0.099 0.000 0.299
Ni1 Ni 0.000 0.500 0.500
Ni2 Ni 0.201 0.500 0.101
O1 O 0.000 0.000 0.500
O2 O 0.096 0.500 0.293
O3 O 0.206 0.000 0.105
```